1.
Computed powder diffraction line list
Compound: TaGe2Te6
Radiation: a wavelength of 1.5418 Å
Structure: a DFT-relaxed cell (GGA-PBE, Alexandria)
Kinematic intensities with the Lorentz-polarization factor, no thermal factor.

Peak list (10 most intense, 10° ≤ 2θ ≤ 80°, sorted by position)
index	2theta	intensity
3 1 0	21.29	33
2 2 1	24.82	27
2 0 -2	26.46	28
1 3 1	26.66	100
4 0 0	26.80	32
3 3 -1	30.70	82
2 0 2	31.17	50
0 6 0	43.98	52
1 3 -3	44.10	58
5 3 1	44.54	58

Cell and atoms:
```
data_TaGe2Te6
_cell_length_a 13.560
_cell_length_b 12.346
_cell_length_c 7.111
_cell_angle_alpha 90.00
_cell_angle_beta 101.15
_cell_angle_gamma 90.00
_space_group_name_H-M_alt 'C 1 2/c 1'
_space_group_IT_number 15
loop_
_space_group_symop_operation_xyz
'x,y,z'
'-x,-y,-z'
'-x,y,-z+1/2'
'x,-y,z+1/2'
'x+1/2,y+1/2,z'
'-x+1/2,-y+1/2,-z'
'-x+1/2,y+1/2,-z+1/2'
'x+1/2,-y+1/2,z+1/2'
loop_
_atom_site_label
_atom_site_fract_x
_atom_site_fract_y
_atom_site_fract_z
Ta1 0.000 0.119 0.250
Ge1 0.191 0.421 0.344
Te1 0.102 0.075 0.622
Te2 0.113 0.403 0.661
Te3 0.136 0.242 0.129
```

=====

2.
Computed powder diffraction line list
Compound: Ta5Ti5Ge6
Radiation: a wavelength of 1.5418 Å
Structure: a DFT-relaxed cell (GGA-PBE, Alexandria)
Kinematic intensities with the Lorentz-polarization factor, no thermal factor.

Peak list (10 most intense, 10° ≤ 2θ ≤ 80°, sorted by position)
index	2theta	intensity
0 1 1	13.52	43
2 0 0	34.68	49
0 1 3	36.57	28
2 1 1	37.38	22
1 5 1	39.58	59
1 4 2	39.99	100
1 1 3	40.65	42
2 3 1	42.08	36
3 4 2	65.75	23
2 8 0	66.22	20

Cell and atoms:
```
data_Ta5Ti5Ge6
_cell_length_a 5.173
_cell_length_b 13.471
_cell_length_c 7.498
_cell_angle_alpha 90.00
_cell_angle_beta 90.00
_cell_angle_gamma 90.00
_space_group_name_H-M_alt 'A m m 2'
_space_group_IT_number 38
loop_
_space_group_symop_operation_xyz
'x,y,z'
'-x,-y,z'
'-x,y,z'
'x,-y,z'
'x,y+1/2,z+1/2'
'-x,-y+1/2,z+1/2'
'-x,y+1/2,z+1/2'
'x,-y+1/2,z+1/2'
loop_
_atom_site_label
_atom_site_fract_x
_atom_site_fract_y
_atom_site_fract_z
Ta1 0.000 0.000 0.000
Ta2 0.000 0.121 0.318
Ta3 0.500 0.126 0.066
Ti1 0.251 0.166 0.698
Ti2 0.500 0.000 0.412
Ge1 0.000 0.000 0.601
Ge2 0.000 0.201 0.997
Ge3 0.500 0.000 0.791
Ge4 0.500 0.195 0.394
```

=====

3.
Computed powder diffraction line list
Compound: TaTi3Ge5
Radiation: a wavelength of 1.5418 Å
Structure: a DFT-relaxed cell (GGA-PBE, Alexandria)
Kinematic intensities with the Lorentz-polarization factor, no thermal factor.

Peak list (10 most intense, 10° ≤ 2θ ≤ 80°, sorted by position)
index	2theta	intensity
1 0 0	12.71	44
1 1 0	22.11	24
2 0 0	25.58	7
2 1 1	38.10	20
3 0 0	38.79	85
1 1 2	40.51	100
2 1 2	48.52	9
2 2 2	57.33	30
3 3 0	70.23	9
4 1 2	71.39	26

Cell and atoms:
```
data_TaTi3Ge5
_cell_length_a 8.0418
_cell_length_b 8.0418
_cell_length_c 5.3492
_cell_angle_alpha 90.00
_cell_angle_beta 90.00
_cell_angle_gamma 120.00
_space_group_name_H-M_alt 'P 63/m c m'
_space_group_IT_number 193
_space_group_name_Hall '-P 6c 2'
loop_
_atom_site_label
_atom_site_fract_x
_atom_site_fract_y
_atom_site_fract_z
Ta1 0.0000 0.0000 0.0000
Ti1 0.0000 0.3823 0.2500
Ge1 0.0000 0.2901 0.7500
Ge2 0.3333 0.6667 0.0000
```

=====

4.
Computed powder diffraction line list
Compound: Ta3TiGe4
Radiation: a wavelength of 1.5418 Å
Structure: a DFT-relaxed cell (GGA-PBE, Alexandria)
Kinematic intensities with the Lorentz-polarization factor, no thermal factor.

Peak list (10 most intense, 10° ≤ 2θ ≤ 80°, sorted by position)
index	2theta	intensity
0 1 1	15.86	33
0 0 2	23.52	30
0 2 1	24.49	100
1 0 2	29.32	31
0 3 1	34.56	33
2 0 0	34.96	91
0 0 3	35.58	35
0 3 2	40.42	65
2 2 1	43.15	45
2 3 2	54.49	54

Cell and atoms:
```
data_Ta3TiGe4
_cell_length_a 5.132
_cell_length_b 8.289
_cell_length_c 7.569
_cell_angle_alpha 90.00
_cell_angle_beta 90.00
_cell_angle_gamma 90.00
_space_group_name_H-M_alt 'P m m n'
_space_group_IT_number 59
loop_
_space_group_symop_operation_xyz
'x,y,z'
'-x,-y,-z'
'-x+1/2,-y+1/2,z'
'x+1/2,y+1/2,-z'
'x+1/2,-y,-z'
'-x+1/2,y,z'
'-x,y+1/2,-z'
'x,-y+1/2,z'
loop_
_atom_site_label
_atom_site_fract_x
_atom_site_fract_y
_atom_site_fract_z
Ta1 0.250 0.056 0.160
Ta2 0.250 0.750 0.589
Ti1 0.250 0.250 0.777
Ge1 0.250 0.250 0.439
Ge2 0.250 0.555 0.842
Ge3 0.250 0.750 0.232
```

=====

5.
Computed powder diffraction line list
Compound: TaTi4Ge3
Radiation: a wavelength of 1.5418 Å
Structure: a DFT-relaxed cell (GGA-PBE, Alexandria)
Kinematic intensities with the Lorentz-polarization factor, no thermal factor.

Peak list (10 most intense, 10° ≤ 2θ ≤ 80°, sorted by position)
index	2theta	intensity
1 1 0	12.47	69
2 0 0	17.67	57
2 2 0	25.09	42
3 3 0	38.02	29
2 0 2	39.08	100
4 2 0	40.17	93
4 1 1	40.94	69
2 2 2	43.19	58
4 0 2	50.60	31
6 4 2	77.86	29

Cell and atoms:
```
data_TaTi4Ge3
_cell_length_a 10.040
_cell_length_b 10.040
_cell_length_c 5.189
_cell_angle_alpha 90.00
_cell_angle_beta 90.00
_cell_angle_gamma 90.00
_space_group_name_H-M_alt 'I 4/m c m'
_space_group_IT_number 140
_space_group_name_Hall '-I 4 2c'
loop_
_atom_site_label
_atom_site_fract_x
_atom_site_fract_y
_atom_site_fract_z
Ta1 0.000 0.500 0.250
Ti1 0.076 0.222 0.000
Ge1 0.000 0.000 0.250
Ge2 0.166 0.334 0.500
```

=====

6.
Computed powder diffraction line list
Compound: U2Ta3Ge4
Radiation: a wavelength of 1.5418 Å
Structure: a DFT-relaxed cell (GGA-PBE, Alexandria)
Kinematic intensities with the Lorentz-polarization factor, no thermal factor.

Peak list (10 most intense, 10° ≤ 2θ ≤ 80°, sorted by position)
index	2theta	intensity
2 1 0	29.34	30
1 2 1	33.31	81
2 2 -1	35.77	100
1 2 -2	36.03	31
1 1 2	36.39	94
2 2 0	36.69	40
0 3 1	40.18	86
3 0 0	40.25	30
1 1 -3	40.47	65
2 4 -1	57.85	32

Cell and atoms:
```
data_U2Ta3Ge4
_cell_length_a 7.156
_cell_length_b 7.154
_cell_length_c 7.038
_cell_angle_alpha 90.00
_cell_angle_beta 110.07
_cell_angle_gamma 90.00
_space_group_name_H-M_alt 'P 1 21/c 1'
_space_group_IT_number 14
loop_
_space_group_symop_operation_xyz
'x,y,z'
'-x,-y,-z'
'-x,y+1/2,-z+1/2'
'x,-y+1/2,z+1/2'
loop_
_atom_site_label
_atom_site_fract_x
_atom_site_fract_y
_atom_site_fract_z
U1 0.181 0.165 0.056
Ta1 0.250 0.670 0.248
Ta2 0.500 0.000 0.500
Ge1 0.087 0.541 0.859
Ge2 0.493 0.134 0.864
```

=====

7.
Computed powder diffraction line list
Compound: Ta4VGe3
Radiation: a wavelength of 1.5418 Å
Structure: a DFT-relaxed cell (GGA-PBE, Alexandria)
Kinematic intensities with the Lorentz-polarization factor, no thermal factor.

Peak list (10 most intense, 10° ≤ 2θ ≤ 80°, sorted by position)
index	2theta	intensity
2 2 0	24.89	16
2 1 1	26.47	16
0 0 2	35.62	36
3 2 1	36.65	76
4 2 0	39.84	39
2 0 2	39.97	20
4 1 1	40.90	100
2 2 2	43.95	33
4 1 3	67.57	23
5 5 2	76.56	17

Cell and atoms:
```
data_Ta4VGe3
_cell_length_a 10.119
_cell_length_b 10.119
_cell_length_c 5.040
_cell_angle_alpha 90.00
_cell_angle_beta 90.00
_cell_angle_gamma 90.00
_space_group_name_H-M_alt 'I 4/m c m'
_space_group_IT_number 140
_space_group_name_Hall '-I 4 2c'
loop_
_atom_site_label
_atom_site_fract_x
_atom_site_fract_y
_atom_site_fract_z
Ta1 0.078 0.223 0.000
V1 0.000 0.500 0.250
Ge1 0.000 0.000 0.250
Ge2 0.160 0.340 0.500
```

=====

8.
Computed powder diffraction line list
Compound: Ta2VGe2
Radiation: a wavelength of 1.5418 Å
Structure: a DFT-relaxed cell (GGA-PBE, Alexandria)
Kinematic intensities with the Lorentz-polarization factor, no thermal factor.

Peak list (10 most intense, 10° ≤ 2θ ≤ 80°, sorted by position)
index	2theta	intensity
1 1 0	18.96	11
2 0 0	26.94	11
2 1 0	30.19	16
2 0 1	36.63	18
2 1 1	39.16	100
3 1 0	43.22	25
0 0 2	49.90	13
3 3 0	59.23	9
4 1 1	63.27	16
3 1 2	68.11	13

Cell and atoms:
```
data_Ta2VGe2
_cell_length_a 6.619
_cell_length_b 6.619
_cell_length_c 3.655
_cell_angle_alpha 90.00
_cell_angle_beta 90.00
_cell_angle_gamma 90.00
_space_group_name_H-M_alt 'P 4/m b m'
_space_group_IT_number 127
_space_group_name_Hall '-P 4 2ab'
loop_
_atom_site_label
_atom_site_fract_x
_atom_site_fract_y
_atom_site_fract_z
Ta1 0.167 0.333 0.000
V1 0.000 0.000 0.500
Ge1 0.137 0.637 0.500
```

=====

9.
Computed powder diffraction line list
Compound: Zr3Ta2Ge3
Radiation: a wavelength of 1.5418 Å
Structure: a DFT-relaxed cell (GGA-PBE, Alexandria)
Kinematic intensities with the Lorentz-polarization factor, no thermal factor.

Peak list (10 most intense, 10° ≤ 2θ ≤ 80°, sorted by position)
index	2theta	intensity
1 0 0	12.85	43
1 1 0	22.35	17
2 0 0	25.86	14
2 1 0	34.43	37
1 0 2	35.35	23
2 1 1	38.28	54
3 0 0	39.22	64
1 1 2	40.04	100
2 2 2	57.30	27
4 1 2	71.63	16

Cell and atoms:
```
data_Zr3Ta2Ge3
_cell_length_a 7.9568
_cell_length_b 7.9568
_cell_length_c 5.4631
_cell_angle_alpha 90.00
_cell_angle_beta 90.00
_cell_angle_gamma 120.00
_space_group_name_H-M_alt 'P 63/m c m'
_space_group_IT_number 193
_space_group_name_Hall '-P 6c 2'
loop_
_atom_site_label
_atom_site_fract_x
_atom_site_fract_y
_atom_site_fract_z
Zr1 0.0000 0.2551 0.2500
Ta1 0.3333 0.6667 0.0000
Ge1 0.0000 0.3921 0.7500
```

=====

10.
Computed powder diffraction line list
Compound: Zr2TaGe6
Radiation: a wavelength of 1.5418 Å
Structure: a DFT-relaxed cell (GGA-PBE, Alexandria)
Kinematic intensities with the Lorentz-polarization factor, no thermal factor.

Peak list (10 most intense, 10° ≤ 2θ ≤ 80°, sorted by position)
index	2theta	intensity
0 2 1	23.78	22
1 3 0	35.11	22
1 3 1	37.44	100
2 0 1	37.55	55
0 0 3	38.47	53
1 3 2	43.81	64
2 0 2	43.91	38
0 6 1	64.43	42
3 3 1	64.67	20
2 0 5	77.61	18

Cell and atoms:
```
data_Zr2TaGe6
_cell_length_a 5.097
_cell_length_b 8.863
_cell_length_c 7.020
_cell_angle_alpha 90.00
_cell_angle_beta 90.00
_cell_angle_gamma 90.00
_space_group_name_H-M_alt 'C 2 2 2'
_space_group_IT_number 21
loop_
_space_group_symop_operation_xyz
'x,y,z'
'-x,-y,z'
'x,-y,-z'
'-x,y,-z'
'x+1/2,y+1/2,z'
'-x+1/2,-y+1/2,z'
'x+1/2,-y+1/2,-z'
'-x+1/2,y+1/2,-z'
loop_
_atom_site_label
_atom_site_fract_x
_atom_site_fract_y
_atom_site_fract_z
Zr1 0.250 0.250 0.166
Ta1 0.000 0.000 0.500
Ge1 0.000 0.334 0.500
Ge2 0.246 0.419 0.829
```

=====

11.
Computed powder diffraction line list
Compound: TbGe5
Radiation: a wavelength of 1.5418 Å
Structure: a DFT-relaxed cell (GGA-PBE, Alexandria)
Kinematic intensities with the Lorentz-polarization factor, no thermal factor.

Peak list (10 most intense, 10° ≤ 2θ ≤ 80°, sorted by position)
index	2theta	intensity
1 1 -1	26.40	25
2 2 0	34.42	66
2 0 1	35.31	66
4 0 -1	35.42	65
2 2 -1	37.89	100
2 0 -2	44.90	33
4 2 0	47.46	26
6 0 0	56.38	17
0 2 2	57.77	29
2 4 -2	78.10	19

Cell and atoms:
```
data_TbGe5
_cell_length_a 10.580
_cell_length_b 6.156
_cell_length_c 4.038
_cell_angle_alpha 90.00
_cell_angle_beta 112.26
_cell_angle_gamma 90.00
_space_group_name_H-M_alt 'C 1 2/m 1'
_space_group_IT_number 12
loop_
_space_group_symop_operation_xyz
'x,y,z'
'-x,-y,-z'
'-x,y,-z'
'x,-y,z'
'x+1/2,y+1/2,z'
'-x+1/2,-y+1/2,-z'
'-x+1/2,y+1/2,-z'
'x+1/2,-y+1/2,z'
loop_
_atom_site_label
_atom_site_fract_x
_atom_site_fract_y
_atom_site_fract_z
Tb1 0.000 0.000 0.000
Ge1 0.000 0.500 0.000
Ge2 0.167 0.291 0.668
```

=====

12.
Computed powder diffraction line list
Compound: Tb3Ge2
Radiation: a wavelength of 1.5418 Å
Structure: a DFT-relaxed cell (GGA-PBE, Alexandria)
Kinematic intensities with the Lorentz-polarization factor, no thermal factor.

Peak list (10 most intense, 10° ≤ 2θ ≤ 80°, sorted by position)
index	2theta	intensity
1 3 0	26.61	100
2 1 1	27.71	65
0 0 2	29.21	28
1 1 2	32.36	96
3 1 0	34.34	54
2 0 2	36.90	39
2 4 0	39.54	29
3 2 1	40.12	43
0 4 2	44.19	61
3 3 2	51.63	49

Cell and atoms:
```
data_Tb3Ge2
_cell_length_a 8.063
_cell_length_b 11.051
_cell_length_c 6.114
_cell_angle_alpha 90.00
_cell_angle_beta 90.00
_cell_angle_gamma 90.00
_space_group_name_H-M_alt 'I b a m'
_space_group_IT_number 72
_space_group_name_Hall '-I 2 2c'
loop_
_atom_site_label
_atom_site_fract_x
_atom_site_fract_y
_atom_site_fract_z
Tb1 0.000 0.000 0.250
Tb2 0.137 0.352 0.000
Ge1 0.224 0.387 0.500
```